Record 1
For Mg14TiMo, the PBE geometry in the Materials Project gives the theoretical powder XRD pattern in this record (Cu Ka).

Structural model:
```
16
Lattice="6.2941 0.0000 0.0000 -3.1470 5.4508 0.0000 0.0000 0.0000 9.9722" Properties=species:S:1:pos:R:3 pbc="T T T"
Mg 0.0000 0.0000 2.4710
Mg 0.0000 0.0000 7.5012
Mg -1.5068 2.7640 2.5410
Mg -1.5068 2.7640 7.4313
Mg 1.5814 0.9130 4.9861
Mg 1.5918 0.9190 0.0000
Mg 1.5068 2.7640 2.5410
Mg 1.5068 2.7640 7.4313
Mg 0.0000 5.3737 2.5410
Mg 0.0000 5.3737 7.4313
Mg 4.7023 0.9190 0.0000
Mg 3.1470 3.6128 0.0000
Mg 4.7127 0.9130 4.9861
Mg 3.1470 3.6248 4.9861
Ti 0.0000 3.6339 0.0000
Mo 0.0000 3.6339 4.9861
```

Main lines, in order of rising 2θ (5° ≤ 2θ ≤ 70°):
hkl 0 0 1, 8.87 deg, d 9.972, intensity 7; hkl 1 0 0, 16.26 deg, d 5.451, intensity 23; hkl 1 0 1, 18.55 deg, d 4.783, intensity 8; hkl 1 0 2, 24.19 deg, d 3.679, intensity 13; hkl 2 0 0, 32.86 deg, d 2.725, intensity 27; hkl 0 0 4, 36.03 deg, d 2.493, intensity 25; hkl 2 0 2, 37.61 deg, d 2.391, intensity 100; hkl 2 0 4, 49.55 deg, d 1.840, intensity 16; hkl 2 2 0, 58.67 deg, d 1.574, intensity 17; hkl 2 0 6, 65.82 deg, d 1.419, intensity 18

=====

Record 2
For TiS, the PBE geometry in the Materials Project gives the theoretical powder XRD pattern in this record (Cu Ka).

Structural model:
```
4
Lattice="3.3241 0.0000 0.0000 -1.6620 2.8787 0.0000 0.0000 0.0000 6.4034" Properties=species:S:1:pos:R:3 pbc="T T T"
Ti 0.0000 1.9192 1.6009
Ti 1.6620 0.9596 4.8026
S 0.0000 0.0000 0.0000
S 0.0000 0.0000 3.2017
```

Main lines, in order of rising 2θ (5° ≤ 2θ ≤ 70°):
hkl 0 0 2, 27.87 deg, d 3.202, intensity 3; hkl 1 0 0, 31.07 deg, d 2.879, intensity 4; hkl 1 0 1, 34.15 deg, d 2.626, intensity 100; hkl 1 0 2, 42.22 deg, d 2.141, intensity 99; hkl 1 0 3, 53.44 deg, d 1.715, intensity 25; hkl 1 1 0, 55.27 deg, d 1.662, intensity 42; hkl 0 0 4, 57.58 deg, d 1.601, intensity 12; hkl 1 1 2, 63.02 deg, d 1.475, intensity 2; hkl 2 0 1, 66.59 deg, d 1.404, intensity 12; hkl 1 0 4, 66.87 deg, d 1.399, intensity 1

=====

Record 3
For CaNb2Te4Cl10O, the PBE geometry in the Materials Project gives the theoretical powder XRD pattern in this record (Cu Ka).

Structural model:
```
18
Lattice="7.3530 0.0000 0.0000 1.3284 8.5236 0.0000 0.5229 1.1669 9.5797" Properties=species:S:1:pos:R:3 pbc="T T T"
Ca 0.0000 0.0000 0.0000
Nb 1.1400 5.0992 0.8581
Nb 2.0627 7.8646 3.3705
Te 3.5620 3.6036 5.2484
Te 3.4356 1.4383 6.9783
Te 5.1619 2.8773 8.6730
Te 5.8484 4.5009 6.5618
Cl 1.0266 4.4381 8.8767
Cl 1.1339 1.2394 4.8401
Cl 2.9018 7.3781 8.5223
Cl 2.1097 0.5320 1.6166
Cl 3.1251 4.0168 1.4059
Cl 4.0298 6.7526 4.0456
Cl 7.1845 7.6904 9.5300
Cl 6.2025 0.6831 2.4371
Cl 7.1474 4.2074 2.5059
Cl 8.0835 6.8047 4.9449
O 1.6436 6.6418 1.9239
```

Main lines, in order of rising 2θ (5° ≤ 2θ ≤ 70°):
hkl 0 1 1, 13.10 deg, d 6.760, intensity 37; hkl 0 1 -1, 14.81 deg, d 5.980, intensity 51; hkl 1 0 -1, 15.57 deg, d 5.691, intensity 100; hkl 1 -1 0, 17.23 deg, d 5.145, intensity 69; hkl -1 1 1, 19.18 deg, d 4.628, intensity 51; hkl 1 1 2, 22.43 deg, d 3.963, intensity 34; hkl 2 -1 1, 29.82 deg, d 2.996, intensity 37; hkl 1 2 -2, 31.34 deg, d 2.855, intensity 45; hkl 2 3 0, 37.32 deg, d 2.409, intensity 32; hkl 0 3 -2, 38.94 deg, d 2.313, intensity 31

=====

Record 4
For CaAl2SiO6, the PBE geometry in the Materials Project gives the theoretical powder XRD pattern in this record (Cu Ka).

Structural model:
```
40
Lattice="5.3344 0.0000 0.0000 0.0000 8.7513 0.0000 -2.5707 0.0000 9.3499" Properties=species:S:1:pos:R:3 pbc="T T T"
Ca -0.6427 0.5074 2.3375
Ca -1.9280 8.2439 7.0124
Ca 2.0245 3.8221 2.3375
Ca 0.7391 4.9292 7.0124
Al -1.9280 2.9683 7.0124
Al -0.6427 5.7831 2.3375
Al 1.6414 1.3453 0.3150
Al 0.3560 7.4061 4.9900
Al 0.7391 1.3373 7.0124
Al 2.0245 7.4140 2.3375
Al 2.4076 1.3453 4.3599
Al 1.1222 7.4061 9.0349
Si -0.2504 3.0445 4.2807
Si -1.5358 5.7069 8.9557
Si 4.2994 3.0445 0.3942
Si 3.0141 5.7069 5.0692
O 0.3605 2.4086 0.9743
O -0.9248 6.3427 5.6493
O -1.2316 4.2647 8.2483
O 0.0538 4.4866 3.5733
O -0.9351 1.5495 7.9095
O 0.3503 7.2018 3.2345
O -0.2337 2.9961 5.9446
O 1.0517 5.7552 1.2697
O 0.0366 0.1725 5.7677
O 1.3219 8.5788 1.0928
O 0.9465 2.0728 3.6877
O -0.3389 6.6785 8.3627
O 3.1025 2.0728 0.9873
O 1.8171 6.6785 5.6622
O 1.4417 0.1725 8.2572
O 2.7271 8.5788 3.5822
O 1.7119 2.9961 8.0803
O 2.9973 5.7552 3.4053
O 2.4133 1.5495 6.1154
O 3.6987 7.2018 1.4404
O 2.7098 4.2647 5.7766
O 3.9952 4.4866 1.1016
O 3.6884 2.4086 3.7007
O 2.4031 6.3427 8.3756
```

Main lines, in order of rising 2θ (5° ≤ 2θ ≤ 70°):
hkl 1 2 1, 29.97 deg, d 2.982, intensity 100; hkl 0 1 3, 30.45 deg, d 2.936, intensity 29; hkl 1 1 2, 30.80 deg, d 2.903, intensity 41; hkl 2 0 -2, 35.09 deg, d 2.558, intensity 41; hkl 1 3 0, 35.37 deg, d 2.537, intensity 26; hkl 1 2 -3, 35.91 deg, d 2.501, intensity 50; hkl 1 1 -4, 39.25 deg, d 2.295, intensity 19; hkl 1 4 -1, 45.07 deg, d 2.012, intensity 23; hkl 3 3 -2, 61.30 deg, d 1.512, intensity 22; hkl 1 3 -6, 66.14 deg, d 1.413, intensity 18